1.
This entry pairs a crystal structure of Gd2MoO6 with its theoretical XRD peak list. Radiation: Cu Ka. Structure: DFT lattice parameters and positions (GGA+U).
Intensities are scaled so that the largest is 100.

Atomic structure:
abc: 10.0750 10.0750 5.4771
angles: 104.92 104.92 68.23
Sites, in units of the cell vectors:
Gd (0.0531, 0.2851, 0.8804)
Gd (0.1085, 0.8915, 0.7500)
Gd (0.2851, 0.0531, 0.3804)
Gd (0.3646, 0.6354, 0.2500)
Gd (0.6354, 0.3646, 0.7500)
Gd (0.7149, 0.9469, 0.6196)
Gd (0.8915, 0.1085, 0.2500)
Gd (0.9469, 0.7149, 0.1196)
Mo (0.2036, 0.4888, 0.5597)
Mo (0.4888, 0.2036, 0.0597)
Mo (0.5112, 0.7964, 0.9403)
Mo (0.7964, 0.5112, 0.4403)
O (0.0690, 0.4752, 0.2594)
O (0.0747, 0.1088, 0.0785)
O (0.1088, 0.0747, 0.5785)
O (0.1630, 0.6908, 0.4147)
O (0.1731, 0.6158, 0.8653)
O (0.2120, 0.3195, 0.6373)
O (0.3092, 0.8370, 0.0853)
O (0.3195, 0.2120, 0.1373)
O (0.3842, 0.8269, 0.6347)
O (0.3872, 0.4527, 0.5157)
O (0.4527, 0.3872, 0.0157)
O (0.4752, 0.0690, 0.7594)
O (0.5248, 0.9310, 0.2406)
O (0.5473, 0.6128, 0.9843)
O (0.6128, 0.5473, 0.4843)
O (0.6158, 0.1731, 0.3653)
O (0.6805, 0.7880, 0.8627)
O (0.6908, 0.1630, 0.9147)
O (0.7880, 0.6805, 0.3627)
O (0.8269, 0.3842, 0.1347)
O (0.8370, 0.3092, 0.5853)
O (0.8912, 0.9253, 0.4215)
O (0.9253, 0.8912, 0.9215)
O (0.9310, 0.5248, 0.7406)

Top 6 peaks for 10° ≤ 2θ ≤ 80°, low angle first:
2θ/deg	Rel. int.
28.11	100.0
28.47	90.9
31.67	23.2
32.71	19.9
46.17	26.4
47.09	27.2

***

2.
This entry pairs a crystal structure of Gd2Mo3O12 with its theoretical XRD peak list. Radiation: Cu Ka. Structure: DFT lattice parameters and positions (GGA+U).
Intensities are scaled so that the largest is 100.

Atomic structure:
abc: 7.5143 7.5143 10.8153
angles: 90.00 90.00 90.00
Sites, in units of the cell vectors:
Gd (0.1874, 0.3126, 0.2382)
Gd (0.3126, 0.8126, 0.7618)
Gd (0.6874, 0.1874, 0.7618)
Gd (0.8126, 0.6874, 0.2382)
Mo (0.0000, 0.0000, 0.5000)
Mo (0.2072, 0.2928, 0.8570)
Mo (0.2928, 0.7928, 0.1430)
Mo (0.5000, 0.5000, 0.5000)
Mo (0.7072, 0.2072, 0.1430)
Mo (0.7928, 0.7072, 0.8570)
O (0.0038, 0.7755, 0.7984)
O (0.0408, 0.1892, 0.4032)
O (0.1268, 0.6268, 0.1896)
O (0.1892, 0.9592, 0.5968)
O (0.1951, 0.3049, 0.0210)
O (0.2245, 0.0038, 0.2016)
O (0.2755, 0.5038, 0.7984)
O (0.3049, 0.8049, 0.9790)
O (0.3108, 0.4592, 0.4032)
O (0.3732, 0.1268, 0.8104)
O (0.4592, 0.6892, 0.5968)
O (0.4962, 0.2755, 0.2016)
O (0.5038, 0.7245, 0.2016)
O (0.5408, 0.3108, 0.5968)
O (0.6268, 0.8732, 0.8104)
O (0.6892, 0.5408, 0.4032)
O (0.6951, 0.1951, 0.9790)
O (0.7245, 0.4962, 0.7984)
O (0.7755, 0.9962, 0.2016)
O (0.8049, 0.6951, 0.0210)
O (0.8108, 0.0408, 0.5968)
O (0.8732, 0.3732, 0.1896)
O (0.9592, 0.8108, 0.4032)
O (0.9962, 0.2245, 0.7984)

Top 6 peaks for 10° ≤ 2θ ≤ 80°, low angle first:
2θ/deg	Rel. int.
18.61	85.0
23.47	72.9
25.09	79.4
26.52	100.0
28.94	93.0
29.95	75.8

***

3.
This entry pairs a crystal structure of GdSbMo2O9 with its theoretical XRD peak list. Radiation: Cu Ka. Structure: DFT lattice parameters and positions (GGA+U).
Intensities are scaled so that the largest is 100.

Atomic structure:
abc: 9.7742 9.7742 10.9257
angles: 111.88 111.88 95.37
Sites, in units of the cell vectors:
Gd (0.1253, 0.8747, 0.7500)
Gd (0.3273, 0.6727, 0.2500)
Gd (0.6727, 0.3273, 0.7500)
Gd (0.8747, 0.1253, 0.2500)
Sb (0.3498, 0.3813, 0.4642)
Sb (0.3813, 0.3498, 0.9642)
Sb (0.6187, 0.6502, 0.0358)
Sb (0.6502, 0.6187, 0.5358)
Mo (0.0473, 0.2597, 0.0268)
Mo (0.0601, 0.4340, 0.6952)
Mo (0.2597, 0.0473, 0.5268)
Mo (0.4340, 0.0601, 0.1952)
Mo (0.5660, 0.9399, 0.8048)
Mo (0.7403, 0.9527, 0.4732)
Mo (0.9399, 0.5660, 0.3048)
Mo (0.9527, 0.7403, 0.9732)
O (0.0193, 0.6947, 0.4945)
O (0.0474, 0.2238, 0.1769)
O (0.0643, 0.0950, 0.8990)
O (0.0895, 0.5556, 0.2482)
O (0.0950, 0.0643, 0.3990)
O (0.1289, 0.7021, 0.0640)
O (0.1446, 0.6191, 0.7259)
O (0.2114, 0.3667, 0.8001)
O (0.2206, 0.4042, 0.0775)
O (0.2238, 0.0474, 0.6769)
O (0.2979, 0.8711, 0.4360)
O (0.3053, 0.9807, 0.0055)
O (0.3667, 0.2114, 0.3001)
O (0.3809, 0.8554, 0.7741)
O (0.4042, 0.2206, 0.5775)
O (0.4241, 0.5403, 0.3994)
O (0.4444, 0.9105, 0.2518)
O (0.4597, 0.5759, 0.1006)
O (0.5403, 0.4241, 0.8994)
O (0.5556, 0.0895, 0.7482)
O (0.5759, 0.4597, 0.6006)
O (0.5958, 0.7794, 0.4225)
O (0.6191, 0.1446, 0.2259)
O (0.6333, 0.7886, 0.6999)
O (0.6947, 0.0193, 0.9945)
O (0.7021, 0.1289, 0.5640)
O (0.7762, 0.9526, 0.3231)
O (0.7794, 0.5958, 0.9225)
O (0.7886, 0.6333, 0.1999)
O (0.8554, 0.3809, 0.2741)
O (0.8711, 0.2979, 0.9360)
O (0.9050, 0.9357, 0.6010)
O (0.9105, 0.4444, 0.7518)
O (0.9357, 0.9050, 0.1010)
O (0.9526, 0.7762, 0.8231)
O (0.9807, 0.3053, 0.5055)

Top 6 peaks for 10° ≤ 2θ ≤ 80°, low angle first:
2θ/deg	Rel. int.
23.10	83.2
24.79	74.5
26.24	98.7
27.15	100.0
27.42	71.2
28.18	64.1

***

4.
This entry pairs a crystal structure of Sr2GdMoO6 with its theoretical XRD peak list. Radiation: Cu Ka. Structure: DFT lattice parameters and positions (GGA+U).
Intensities are scaled so that the largest is 100.

Atomic structure:
abc: 5.8982 5.9822 10.1552
angles: 90.00 124.81 90.00
Sites, in units of the cell vectors:
Sr (0.2375, 0.0373, 0.2492)
Sr (0.2375, 0.4627, 0.7492)
Sr (0.7625, 0.5373, 0.2508)
Sr (0.7625, 0.9627, 0.7508)
Gd (0.5000, 0.0000, 0.0000)
Gd (0.5000, 0.5000, 0.5000)
Mo (0.0000, 0.0000, 0.5000)
Mo (0.0000, 0.5000, 0.0000)
O (0.1481, 0.2284, 0.9479)
O (0.1481, 0.2716, 0.4479)
O (0.2256, 0.6984, 0.9589)
O (0.2256, 0.8016, 0.4589)
O (0.3211, 0.0242, 0.7314)
O (0.3211, 0.4758, 0.2314)
O (0.6789, 0.5242, 0.7686)
O (0.6789, 0.9758, 0.2686)
O (0.7744, 0.1984, 0.5411)
O (0.7744, 0.3016, 0.0411)
O (0.8519, 0.7284, 0.5521)
O (0.8519, 0.7716, 0.0521)

Top 6 peaks for 10° ≤ 2θ ≤ 80°, low angle first:
2θ/deg	Rel. int.
29.87	33.2
30.07	68.7
30.33	100.0
43.08	36.6
43.41	18.7
53.55	38.6

***

Copy entry 3 word for word.
This entry pairs a crystal structure of GdSbMo2O9 with its theoretical XRD peak list. Radiation: Cu Ka. Structure: DFT lattice parameters and positions (GGA+U).
Intensities are scaled so that the largest is 100.

Atomic structure:
abc: 9.7742 9.7742 10.9257
angles: 111.88 111.88 95.37
Sites, in units of the cell vectors:
Gd (0.1253, 0.8747, 0.7500)
Gd (0.3273, 0.6727, 0.2500)
Gd (0.6727, 0.3273, 0.7500)
Gd (0.8747, 0.1253, 0.2500)
Sb (0.3498, 0.3813, 0.4642)
Sb (0.3813, 0.3498, 0.9642)
Sb (0.6187, 0.6502, 0.0358)
Sb (0.6502, 0.6187, 0.5358)
Mo (0.0473, 0.2597, 0.0268)
Mo (0.0601, 0.4340, 0.6952)
Mo (0.2597, 0.0473, 0.5268)
Mo (0.4340, 0.0601, 0.1952)
Mo (0.5660, 0.9399, 0.8048)
Mo (0.7403, 0.9527, 0.4732)
Mo (0.9399, 0.5660, 0.3048)
Mo (0.9527, 0.7403, 0.9732)
O (0.0193, 0.6947, 0.4945)
O (0.0474, 0.2238, 0.1769)
O (0.0643, 0.0950, 0.8990)
O (0.0895, 0.5556, 0.2482)
O (0.0950, 0.0643, 0.3990)
O (0.1289, 0.7021, 0.0640)
O (0.1446, 0.6191, 0.7259)
O (0.2114, 0.3667, 0.8001)
O (0.2206, 0.4042, 0.0775)
O (0.2238, 0.0474, 0.6769)
O (0.2979, 0.8711, 0.4360)
O (0.3053, 0.9807, 0.0055)
O (0.3667, 0.2114, 0.3001)
O (0.3809, 0.8554, 0.7741)
O (0.4042, 0.2206, 0.5775)
O (0.4241, 0.5403, 0.3994)
O (0.4444, 0.9105, 0.2518)
O (0.4597, 0.5759, 0.1006)
O (0.5403, 0.4241, 0.8994)
O (0.5556, 0.0895, 0.7482)
O (0.5759, 0.4597, 0.6006)
O (0.5958, 0.7794, 0.4225)
O (0.6191, 0.1446, 0.2259)
O (0.6333, 0.7886, 0.6999)
O (0.6947, 0.0193, 0.9945)
O (0.7021, 0.1289, 0.5640)
O (0.7762, 0.9526, 0.3231)
O (0.7794, 0.5958, 0.9225)
O (0.7886, 0.6333, 0.1999)
O (0.8554, 0.3809, 0.2741)
O (0.8711, 0.2979, 0.9360)
O (0.9050, 0.9357, 0.6010)
O (0.9105, 0.4444, 0.7518)
O (0.9357, 0.9050, 0.1010)
O (0.9526, 0.7762, 0.8231)
O (0.9807, 0.3053, 0.5055)

Top 6 peaks for 10° ≤ 2θ ≤ 80°, low angle first:
2θ/deg	Rel. int.
23.10	83.2
24.79	74.5
26.24	98.7
27.15	100.0
27.42	71.2
28.18	64.1

***

Copy entry 2 word for word.
This entry pairs a crystal structure of Gd2Mo3O12 with its theoretical XRD peak list. Radiation: Cu Ka. Structure: DFT lattice parameters and positions (GGA+U).
Intensities are scaled so that the largest is 100.

Atomic structure:
abc: 7.5143 7.5143 10.8153
angles: 90.00 90.00 90.00
Sites, in units of the cell vectors:
Gd (0.1874, 0.3126, 0.2382)
Gd (0.3126, 0.8126, 0.7618)
Gd (0.6874, 0.1874, 0.7618)
Gd (0.8126, 0.6874, 0.2382)
Mo (0.0000, 0.0000, 0.5000)
Mo (0.2072, 0.2928, 0.8570)
Mo (0.2928, 0.7928, 0.1430)
Mo (0.5000, 0.5000, 0.5000)
Mo (0.7072, 0.2072, 0.1430)
Mo (0.7928, 0.7072, 0.8570)
O (0.0038, 0.7755, 0.7984)
O (0.0408, 0.1892, 0.4032)
O (0.1268, 0.6268, 0.1896)
O (0.1892, 0.9592, 0.5968)
O (0.1951, 0.3049, 0.0210)
O (0.2245, 0.0038, 0.2016)
O (0.2755, 0.5038, 0.7984)
O (0.3049, 0.8049, 0.9790)
O (0.3108, 0.4592, 0.4032)
O (0.3732, 0.1268, 0.8104)
O (0.4592, 0.6892, 0.5968)
O (0.4962, 0.2755, 0.2016)
O (0.5038, 0.7245, 0.2016)
O (0.5408, 0.3108, 0.5968)
O (0.6268, 0.8732, 0.8104)
O (0.6892, 0.5408, 0.4032)
O (0.6951, 0.1951, 0.9790)
O (0.7245, 0.4962, 0.7984)
O (0.7755, 0.9962, 0.2016)
O (0.8049, 0.6951, 0.0210)
O (0.8108, 0.0408, 0.5968)
O (0.8732, 0.3732, 0.1896)
O (0.9592, 0.8108, 0.4032)
O (0.9962, 0.2245, 0.7984)

Top 6 peaks for 10° ≤ 2θ ≤ 80°, low angle first:
2θ/deg	Rel. int.
18.61	85.0
23.47	72.9
25.09	79.4
26.52	100.0
28.94	93.0
29.95	75.8